(1)
Calculated powder X-ray diffraction pattern
Compound: Al2ZnTe3Se
Radiation: Cu Kα
Structure: a cell relaxed with PBE

Atomic structure:
Unit cell a=5.9616 b=5.9717 c=7.1782 alpha=114.50 beta=113.32 gamma=91.03
Atoms (fractional coordinates):
Al 0.0000 0.0000 0.0000
Al 0.2360 0.7599 0.5190
Zn 0.7542 0.2775 0.5159
Te 0.3750 0.4007 0.2449
Te 0.6161 0.1588 0.7841
Te 0.8484 0.8624 0.2452
Se 0.1295 0.6459 0.7688

Largest 10 diffraction maxima, by intensity, 2θ = 10–90°:
Position (°2θ), d_spacing, I (rel.)
26.10, 3.414, 100
25.68, 3.468, 56
26.25, 3.395, 51
29.96, 2.983, 34
42.48, 2.128, 21
43.00, 2.104, 20
43.12, 2.098, 19
43.28, 2.090, 19
43.46, 2.082, 18
43.65, 2.073, 18

=====

(2)
Calculated powder X-ray diffraction pattern
Compound: Sm5Al2Si7
Radiation: Cu Kα
Structure: a cell relaxed with PBE

Atomic structure:
Unit cell a=6.0061 b=6.0061 c=17.1087 alpha=97.96 beta=97.96 gamma=99.93
Atoms (fractional coordinates):
Sm 0.0854 0.6504 0.7151
Sm 0.2026 0.7974 0.0000
Sm 0.2357 0.7643 0.5000
Sm 0.3496 0.9146 0.2849
Sm 0.4043 0.4043 0.1402
Sm 0.5957 0.5957 0.8598
Sm 0.6504 0.0854 0.7151
Sm 0.7643 0.2357 0.5000
Sm 0.7974 0.2026 0.0000
Sm 0.9146 0.3496 0.2849
Al 0.2096 0.2096 0.7639
Al 0.3090 0.3090 0.5699
Al 0.6910 0.6910 0.4301
Al 0.7904 0.7904 0.2361
Si 0.0125 0.0125 0.1408
Si 0.0159 0.4150 0.8613
Si 0.0525 0.0525 0.6277
Si 0.2535 0.2535 0.4241
Si 0.3018 0.3018 0.9628
Si 0.4150 0.0159 0.8613
Si 0.4308 0.4308 0.3218
Si 0.5692 0.5692 0.6782
Si 0.5850 0.9841 0.1387
Si 0.6982 0.6982 0.0372
Si 0.7465 0.7465 0.5759
Si 0.9475 0.9475 0.3723
Si 0.9841 0.5850 0.1387
Si 0.9875 0.9875 0.8592

Largest 10 diffraction maxima, by intensity, 2θ = 10–90°:
Position (°2θ), d_spacing, I (rel.)
28.88, 3.092, 100
34.45, 2.603, 70
32.01, 2.796, 54
27.97, 3.190, 46
31.50, 2.840, 44
28.26, 3.158, 42
39.18, 2.299, 39
34.20, 2.622, 37
30.72, 2.910, 35
36.33, 2.473, 28

=====

(3)
Calculated powder X-ray diffraction pattern
Compound: Tb6Al3Si
Radiation: Cu Kα
Structure: a cell relaxed with PBE

Atomic structure:
Unit cell a=11.2368 b=11.2368 c=11.2368 alpha=117.71 beta=117.71 gamma=94.02
Atoms (fractional coordinates):
Tb 0.0615 0.9296 0.2595
Tb 0.0704 0.3299 0.1319
Tb 0.1484 0.6484 0.5000
Tb 0.1691 0.3309 0.5000
Tb 0.1701 0.4296 0.8681
Tb 0.1980 0.9385 0.8681
Tb 0.3020 0.1701 0.7405
Tb 0.3299 0.1980 0.2595
Tb 0.3309 0.8309 0.1619
Tb 0.3516 0.8516 0.5000
Tb 0.4296 0.5615 0.2595
Tb 0.4385 0.6980 0.8681
Tb 0.5615 0.3020 0.1319
Tb 0.5704 0.4385 0.7405
Tb 0.6484 0.1484 0.5000
Tb 0.6691 0.1691 0.8381
Tb 0.6701 0.8020 0.7405
Tb 0.6980 0.8299 0.2595
Tb 0.8020 0.0615 0.1319
Tb 0.8299 0.5704 0.1319
Tb 0.8309 0.6691 0.5000
Tb 0.8516 0.3516 0.5000
Tb 0.9296 0.6701 0.8681
Tb 0.9385 0.0704 0.7405
Al 0.0264 0.8828 0.5000
Al 0.1172 0.6172 0.1436
Al 0.1198 0.6198 0.7396
Al 0.3802 0.1198 0.5000
Al 0.3828 0.5264 0.5000
Al 0.4736 0.9736 0.8564
Al 0.5264 0.0264 0.1436
Al 0.6172 0.4736 0.5000
Al 0.6198 0.8802 0.5000
Al 0.8802 0.3802 0.2604
Al 0.8828 0.3828 0.8564
Al 0.9736 0.1172 0.5000
Si 0.0000 0.0000 0.0000
Si 0.2500 0.2500 0.0000
Si 0.5000 0.5000 0.0000
Si 0.7500 0.7500 0.0000

Largest 10 diffraction maxima, by intensity, 2θ = 10–90°:
Position (°2θ), d_spacing, I (rel.)
33.79, 2.652, 100
32.29, 2.773, 91
23.22, 3.831, 39
32.68, 2.740, 38
32.85, 2.726, 36
24.43, 3.643, 34
52.96, 1.729, 31
24.21, 3.676, 27
55.45, 1.657, 26
36.40, 2.468, 24